Entry 1:
# K3Pa3BiTe8
Theoretical powder diffraction line list, CuKα. Input: the GGA-PBE geometry in Alexandria.

Cell and atoms:
```
data_K3Pa3BiTe8
_cell_length_a 8.9018
_cell_length_b 8.9018
_cell_length_c 25.3866
_cell_angle_alpha 90.00
_cell_angle_beta 90.00
_cell_angle_gamma 120.00
_space_group_name_H-M_alt 'R -3 m'
_space_group_IT_number 166
_space_group_name_Hall '-R 3 2"'
loop_
_atom_site_label
_atom_site_type_symbol
_atom_site_fract_x
_atom_site_fract_y
_atom_site_fract_z
K1 K 0.0000 0.5000 0.0000
Pa1 Pa 0.0000 0.5000 0.5000
Bi1 Bi 0.0000 0.0000 0.5000
Te1 Te 0.0000 0.0000 0.2377
Te2 Te 0.0070 0.5035 0.7624
```

Peak list (10 most intense, 2θ from 5° to 70°, sorted by position)
- hkl 0 0 3, 8.462 Å, I = 71
- hkl 0 2 1, 3.811 Å, I = 17
- hkl 0 2 4, 3.295 Å, I = 100
- hkl 0 2 7, 2.641 Å, I = 24
- hkl 2 0 8, 2.450 Å, I = 39
- hkl 2 2 0, 2.225 Å, I = 36
- hkl 2 2 3, 2.152 Å, I = 16
- hkl 2 0 11, 1.980 Å, I = 15
- hkl 4 0 4, 1.844 Å, I = 19
- hkl 2 4 4, 1.420 Å, I = 16

Entry 2:
# Ca2SiSnAu6
Theoretical powder diffraction line list, CuKα. Input: the GGA-PBE geometry in Alexandria.

Cell and atoms:
```
data_Ca2SiSnAu6
_cell_length_a 5.774
_cell_length_b 8.995
_cell_length_c 8.988
_cell_angle_alpha 90.00
_cell_angle_beta 90.00
_cell_angle_gamma 90.00
_space_group_name_H-M_alt 'P m m n'
_space_group_IT_number 59
loop_
_space_group_symop_operation_xyz
'x,y,z'
'-x,-y,-z'
'-x+1/2,-y+1/2,z'
'x+1/2,y+1/2,-z'
'x+1/2,-y,-z'
'-x+1/2,y,z'
'-x,y+1/2,-z'
'x,-y+1/2,z'
loop_
_atom_site_label
_atom_site_type_symbol
_atom_site_fract_x
_atom_site_fract_y
_atom_site_fract_z
Ca1 Ca 0.250 0.001 0.243
Si1 Si 0.250 0.750 0.739
Sn1 Sn 0.250 0.250 0.787
Au1 Au 0.002 0.750 0.958
Au2 Au 0.004 0.250 0.499
Au3 Au 0.250 0.502 0.619
```

Peak list (10 most intense, 2θ from 5° to 70°, sorted by position)
- hkl 0 0 1, 8.988 Å, I = 37
- hkl 1 0 1, 4.858 Å, I = 31
- hkl 0 0 2, 4.496 Å, I = 56
- hkl 0 2 2, 3.179 Å, I = 41
- hkl 1 2 2, 2.785 Å, I = 28
- hkl 2 2 0, 2.429 Å, I = 100
- hkl 0 4 0, 2.249 Å, I = 41
- hkl 2 2 2, 2.137 Å, I = 44
- hkl 0 2 4, 2.010 Å, I = 36
- hkl 2 4 2, 1.650 Å, I = 26